[1]
# UIr
Calculated powder diffractogram, Cu Kα X-rays. Input: a cell relaxed with PBE.

Main lines, sorted by position (2θ = 10–90°):
27.33°, d 3.263, intensity 278, hkl 0 2 0; 30.08°, d 2.970, intensity 295, hkl 0 2 -1; 35.04°, d 2.561, intensity 292, hkl 0 2 -2; 37.34°, d 2.408, intensity 1000, hkl -1 1 3; 37.54°, d 2.396, intensity 554, hkl 1 -1 3; 38.33°, d 2.348, intensity 525, hkl 1 1 4; 39.04°, d 2.307, intensity 364, hkl 2 1 1; 39.43°, d 2.285, intensity 361, hkl 2 1 0; 41.52°, d 2.175, intensity 314, hkl 0 3 0; 45.17°, d 2.007, intensity 241, hkl 1 2 -3

Structure:
```
16
Lattice="4.6763 0.0000 0.0000 1.3720 6.6047 0.0000 1.3722 1.5739 10.0435" Properties=species:S:1:pos:R:3 pbc="T T T"
U 1.4763 3.4257 2.4546
U 3.5589 7.6054 7.7480
U 3.3212 5.4207 9.1124
U 1.5908 0.1944 0.9635
U 5.8297 7.9842 9.0800
U 4.0992 2.7579 0.9311
U 3.8616 0.5732 2.2955
U 5.9442 4.7529 7.5889
Ir 1.4853 2.8586 5.5009
Ir 1.4864 0.7469 3.8601
Ir 3.6484 5.7226 5.8863
Ir 3.6079 4.9198 3.1212
Ir 3.8126 3.2588 6.9223
Ir 3.7721 2.4560 4.1572
Ir 5.9341 7.4317 6.1833
Ir 5.9351 5.3200 4.5426
```

***

[2]
# Ca3Sn13Pt4
Calculated powder diffractogram, Cu Kα X-rays. Input: a cell relaxed with PBE.

Main lines, sorted by position (2θ = 10–90°):
17.85°, d 4.970, intensity 550, hkl 2 0 0; 25.34°, d 3.515, intensity 233, hkl 2 2 0; 32.47°, d 2.757, intensity 1000, hkl 3 2 0; 33.74°, d 2.657, intensity 370, hkl 3 2 1; 36.14°, d 2.485, intensity 336, hkl 4 0 0; 37.30°, d 2.411, intensity 229, hkl 4 1 0; 40.59°, d 2.223, intensity 557, hkl 4 2 0; 44.66°, d 2.029, intensity 829, hkl 4 2 2; 61.92°, d 1.499, intensity 220, hkl 6 2 2; 82.30°, d 1.172, intensity 245, hkl 6 6 0

Structure:
```
40
Lattice="9.9409 0.0000 0.0000 0.0000 9.9409 0.0000 0.0000 0.0000 9.9409" Properties=species:S:1:pos:R:3 pbc="T T T"
Ca 0.0000 2.4852 4.9704
Ca 0.0000 7.4556 4.9704
Ca 2.4852 4.9704 0.0000
Ca 4.9704 0.0000 2.4852
Ca 4.9704 0.0000 7.4556
Ca 7.4556 4.9704 0.0000
Sn 0.0000 0.0000 0.0000
Sn 0.0000 3.0518 1.4943
Sn 0.0000 3.0518 8.4465
Sn 0.0000 6.8890 1.4943
Sn 0.0000 6.8890 8.4465
Sn 1.4943 0.0000 3.0518
Sn 1.4943 0.0000 6.8890
Sn 1.9186 4.9704 3.4761
Sn 1.9186 4.9704 6.4648
Sn 3.0518 1.4943 0.0000
Sn 3.0518 8.4465 0.0000
Sn 3.4761 1.9186 4.9704
Sn 3.4761 8.0223 4.9704
Sn 4.9704 3.4761 1.9186
Sn 4.9704 3.4761 8.0223
Sn 4.9704 4.9704 4.9704
Sn 4.9704 6.4648 1.9186
Sn 4.9704 6.4648 8.0223
Sn 6.4648 1.9186 4.9704
Sn 6.4648 8.0223 4.9704
Sn 6.8890 1.4943 0.0000
Sn 6.8890 8.4465 0.0000
Sn 8.0223 4.9704 3.4761
Sn 8.0223 4.9704 6.4648
Sn 8.4465 0.0000 3.0518
Sn 8.4465 0.0000 6.8890
Pt 2.4852 2.4852 2.4852
Pt 2.4852 2.4852 7.4556
Pt 2.4852 7.4556 2.4852
Pt 2.4852 7.4556 7.4556
Pt 7.4556 2.4852 2.4852
Pt 7.4556 2.4852 7.4556
Pt 7.4556 7.4556 2.4852
Pt 7.4556 7.4556 7.4556
```

***

[3]
# K3CeAs2O8
Calculated powder diffractogram, Cu Kα X-rays. Input: a cell relaxed with PBE.

Main lines, sorted by position (2θ = 10–90°):
11.41°, d 7.753, intensity 711, hkl 1 0 0; 20.89°, d 4.253, intensity 1000, hkl 1 1 1; 28.69°, d 3.111, intensity 684, hkl 2 0 -2; 29.08°, d 3.071, intensity 735, hkl 2 1 1; 29.96°, d 2.982, intensity 679, hkl 0 2 0; 30.66°, d 2.916, intensity 931, hkl 0 1 3; 38.79°, d 2.321, intensity 237, hkl 3 1 -1; 41.98°, d 2.152, intensity 301, hkl 2 2 -2; 42.57°, d 2.124, intensity 166, hkl 2 2 2; 53.64°, d 1.709, intensity 179, hkl 0 3 3

Structure:
```
28
Lattice="7.7563 0.0000 0.0000 0.0000 5.9644 0.0000 -0.2847 0.0000 10.0287" Properties=species:S:1:pos:R:3 pbc="T T T"
K -0.0116 1.4911 1.9648
K 0.9756 4.4733 4.1129
K 2.0497 1.4911 9.1846
K 5.4220 4.4733 0.8441
K 6.4960 1.4911 5.9158
K 7.4832 4.4733 8.0639
Ce 3.5960 4.4733 7.1456
Ce 3.8756 1.4911 2.8831
As 2.0046 4.4733 0.8648
As 2.2220 1.4911 5.7441
As 5.2496 4.4733 4.2846
As 5.4670 1.4911 9.1639
O 0.3083 4.4733 1.0404
O 1.5028 1.4911 4.1768
O 1.7514 0.0838 6.6359
O 1.7514 2.8984 6.6359
O 2.2059 4.4733 9.2386
O 2.6521 3.0608 1.6265
O 2.6521 5.8858 1.6265
O 3.5550 4.4733 4.5775
O 3.9166 1.4911 5.4512
O 4.8195 0.0786 8.4022
O 4.8195 2.9036 8.4022
O 5.2657 1.4911 0.7901
O 5.7202 3.0660 3.3928
O 5.7202 5.8806 3.3928
O 5.9688 4.4733 5.8519
O 7.1633 1.4911 8.9883
```